Structure and simulated powder X-ray diffraction pattern of NdSmU (a DFT-relaxed cell (PBE, OQMD); Cu Kα (λ = 1.5418 Å)).
Neutral-atom scattering factors, no anomalous dispersion.

Atomic structure:
Cell lengths 7.3801, 7.3801, 7.3801 Å; angles 90.00, 90.00, 90.00 degrees
Space group F-43m (No. 216)
Inequivalent atoms, fractional coordinates:
Nd  0.0000  0.0000  0.0000 x4
Sm  0.2500  0.2500  0.2500 x4
U  0.2500  0.2500  0.7500 x4

Top 8 peaks for 2θ from 10° to 90°, by angle:
20.85°, intensity 23, hkl 1 1 1; 24.12°, intensity 24, hkl 2 0 0; 34.37°, intensity 100, hkl 2 2 0; 40.54°, intensity 13, hkl 3 1 1; 49.40°, intensity 18, hkl 4 0 0; 61.56°, intensity 38, hkl 4 2 2; 72.44°, intensity 12, hkl 4 4 0; 82.70°, intensity 17, hkl 6 2 0